# 1
The following is a simulated X-ray powder pattern of RbInTe3O8. It was derived from DFT lattice parameters and positions (PBE), using copper Kα.

Main lines, in order of rising 2θ (2θ = 5–70°):
12.34°, I = 27.4, (0 1 0); 23.40°, I = 29.6, (1 -1 0); 24.60°, I = 22.0, (1 2 0); 24.82°, I = 43.0, (0 2 0); 26.49°, I = 36.5, (-1 1 2); 26.87°, I = 20.9, (0 2 2); 27.21°, I = 39.3, (1 2 2); 27.55°, I = 34.5, (0 2 -1); 29.73°, I = 56.2, (1 0 3); 30.51°, I = 100.0, (2 1 0)

Atomic structure:
```
data_RbInTe3O8
_cell_length_a 5.873
_cell_length_b 7.753
_cell_length_c 11.342
_cell_angle_alpha 79.40
_cell_angle_beta 89.41
_cell_angle_gamma 70.49
_symmetry_space_group_name_H-M 'P -1'
_symmetry_Int_Tables_number 2
_symmetry_space_group_name_Hall '-P 1'
loop_
_atom_site_label
_atom_site_fract_x
_atom_site_fract_y
_atom_site_fract_z
Rb1 0.161 0.119 0.333
In1 0.000 0.500 0.000
In2 0.500 0.500 0.500
Te1 0.070 0.323 0.650
Te2 0.222 0.008 0.919
Te3 0.483 0.526 0.165
O1 0.112 0.969 0.104
O2 0.177 0.736 0.423
O3 0.186 0.261 0.917
O4 0.240 0.067 0.730
O5 0.249 0.630 0.907
O6 0.270 0.321 0.517
O7 0.270 0.391 0.155
O8 0.390 0.574 0.674
```

***

# 2
The following is a simulated X-ray powder pattern of Na2UF8. It was derived from DFT lattice parameters and positions (PBE), using copper Kα.

Main lines, in order of rising 2θ (2θ = 5–70°):
16.64°, I = 17.8, (0 0 2); 18.04°, I = 100.0, (1 0 1); 22.69°, I = 15.5, (1 1 0); 28.26°, I = 42.7, (1 1 2); 29.87°, I = 21.2, (1 0 3); 37.24°, I = 23.5, (2 1 1); 44.57°, I = 19.4, (2 1 3); 47.32°, I = 23.1, (2 0 4); 55.16°, I = 13.3, (3 1 2); 56.95°, I = 16.0, (1 1 6)

Atomic structure:
```
data_Na2UF8
_cell_length_a 5.543
_cell_length_b 5.543
_cell_length_c 10.658
_cell_angle_alpha 90.00
_cell_angle_beta 90.00
_cell_angle_gamma 90.00
_symmetry_space_group_name_H-M 'I 4/m m m'
_symmetry_Int_Tables_number 139
_symmetry_space_group_name_Hall '-I 4 2'
loop_
_atom_site_label
_atom_site_fract_x
_atom_site_fract_y
_atom_site_fract_z
Na1 0.000 0.500 0.250
U1 0.000 0.000 0.000
F1 0.221 0.221 0.117
```

***

# 3
The following is a simulated X-ray powder pattern of LaMg6Si. It was derived from DFT lattice parameters and positions (PBE), using copper Kα.

Main lines, in order of rising 2θ (2θ = 5–70°):
13.62°, I = 38.2, (0 0 2); 15.67°, I = 85.6, (0 1 1); 23.32°, I = 45.8, (1 0 2); 24.60°, I = 72.4, (1 1 1); 31.46°, I = 68.3, (1 1 3); 31.64°, I = 67.6, (0 2 2); 33.49°, I = 86.1, (1 0 4); 37.08°, I = 100.0, (1 2 2); 38.23°, I = 41.6, (2 0 0); 50.44°, I = 35.7, (2 2 2)

Atomic structure:
```
data_LaMg6Si
_cell_length_a 4.708
_cell_length_b 6.281
_cell_length_c 13.006
_cell_angle_alpha 90.00
_cell_angle_beta 90.00
_cell_angle_gamma 90.00
_symmetry_space_group_name_H-M 'A m m 2'
_symmetry_Int_Tables_number 38
_symmetry_space_group_name_Hall 'A 2 -2'
loop_
_atom_site_label
_atom_site_fract_x
_atom_site_fract_y
_atom_site_fract_z
La1 0.000 0.000 0.000
Mg1 0.000 0.000 0.558
Mg2 0.000 0.244 0.276
Mg3 0.500 0.000 0.404
Mg4 0.500 0.249 0.144
Si1 0.500 0.000 0.835
```

***

# 4
The following is a simulated X-ray powder pattern of LiZr2Ir. It was derived from DFT lattice parameters and positions (PBE), using copper Kα.

Main lines, in order of rising 2θ (2θ = 5–70°):
23.28°, I = 56.5, (1 1 1); 38.48°, I = 100.0, (2 2 0); 45.46°, I = 29.5, (3 1 1); 55.55°, I = 17.1, (4 0 0); 61.04°, I = 12.4, (3 3 1); 69.60°, I = 34.5, (4 2 2)

Atomic structure:
```
data_LiZr2Ir
_cell_length_a 6.617
_cell_length_b 6.617
_cell_length_c 6.617
_cell_angle_alpha 90.00
_cell_angle_beta 90.00
_cell_angle_gamma 90.00
_symmetry_space_group_name_H-M 'F m -3 m'
_symmetry_Int_Tables_number 225
_symmetry_space_group_name_Hall '-F 4 2 3'
loop_
_atom_site_label
_atom_site_fract_x
_atom_site_fract_y
_atom_site_fract_z
Li1 0.000 0.000 0.000
Zr1 0.250 0.250 0.250
Ir1 0.000 0.000 0.500
```